Diffraction record for Zn7Tc. The PXRD pattern is computed, not measured: it uses the PBE geometry in the Materials Project and Cu Kα X-rays.
Lines closer than 0.1° are merged.

Atomic structure:
Unit cell a=5.490 b=5.490 c=5.490 alpha=60.00 beta=60.00 gamma=60.00
Positions (direct):
Zn (0.000, 0.000, 0.000)
Zn (0.000, 0.000, 0.500)
Zn (0.000, 0.500, 0.000)
Zn (0.000, 0.500, 0.500)
Zn (0.500, 0.000, 0.000)
Zn (0.500, 0.000, 0.500)
Zn (0.500, 0.500, 0.000)
Tc (0.500, 0.500, 0.500)

Peak list (7 most intense, 2θ = 10–80°, by angle)
19.8°, rel. 2; 22.9°, rel. 1; 32.6°, rel. 1; 38.5°, rel. 1; 40.2°, rel. 100; 46.8°, rel. 48; 68.4°, rel. 29

=====

Diffraction record for NaLaSe4O12. The PXRD pattern is computed, not measured: it uses the PBE geometry in the Materials Project and Cu Kα X-rays.
Lines closer than 0.1° are merged.

Atomic structure:
Unit cell a=7.409 b=6.155 c=6.155 alpha=73.99 beta=90.00 gamma=90.00
Positions (direct):
Na (0.000, 0.000, 0.000)
La (0.500, 0.454, 0.454)
Se (0.246, 0.496, 0.969)
Se (0.246, 0.969, 0.496)
Se (0.754, 0.496, 0.969)
Se (0.754, 0.969, 0.496)
O (0.000, 0.050, 0.465)
O (0.000, 0.465, 0.050)
O (0.217, 0.802, 0.802)
O (0.264, 0.355, 0.774)
O (0.264, 0.774, 0.355)
O (0.284, 0.264, 0.264)
O (0.500, 0.025, 0.560)
O (0.500, 0.560, 0.025)
O (0.716, 0.264, 0.264)
O (0.736, 0.355, 0.774)
O (0.736, 0.774, 0.355)
O (0.783, 0.802, 0.802)

Peak list (12 most intense, 2θ = 10–80°, by angle)
11.9°, rel. 13; 15.0°, rel. 19; 18.0°, rel. 31; 19.2°, rel. 42; 24.0°, rel. 22; 30.2°, rel. 100; 34.2°, rel. 31; 36.6°, rel. 17; 49.2°, rel. 24; 51.0°, rel. 18; 58.8°, rel. 31; 61.9°, rel. 14

=====

Diffraction record for TcOs3. The PXRD pattern is computed, not measured: it uses the PBE geometry in the Materials Project and Cu Kα X-rays.
Lines closer than 0.1° are merged.

Atomic structure:
Unit cell a=5.524 b=5.524 c=4.358 alpha=90.00 beta=90.00 gamma=120.00
Positions (direct):
Tc (0.333, 0.667, 0.250)
Tc (0.667, 0.333, 0.750)
Os (0.167, 0.335, 0.750)
Os (0.167, 0.833, 0.750)
Os (0.335, 0.167, 0.250)
Os (0.665, 0.833, 0.750)
Os (0.833, 0.167, 0.250)
Os (0.833, 0.665, 0.250)

Peak list (12 most intense, 2θ = 10–80°, by angle)
18.5°, rel. 2; 27.7°, rel. 6; 32.4°, rel. 2; 37.6°, rel. 24; 41.4°, rel. 25; 43.1°, rel. 100; 53.6°, rel. 1; 55.0°, rel. 2; 57.2°, rel. 15; 67.3°, rel. 1; 67.9°, rel. 18; 76.8°, rel. 19

=====

Diffraction record for Sm2Fe17N2. The PXRD pattern is computed, not measured: it uses the PBE geometry in the Materials Project and Cu Kα X-rays.
Lines closer than 0.1° are merged.

Atomic structure:
Unit cell a=6.494 b=6.494 c=6.538 alpha=96.24 beta=96.24 gamma=83.49
Positions (direct):
Sm (0.158, 0.158, 0.342)
Sm (0.842, 0.842, 0.658)
Fe (0.000, 0.500, 0.000)
Fe (0.155, 0.155, 0.857)
Fe (0.156, 0.646, 0.339)
Fe (0.215, 0.785, 0.000)
Fe (0.216, 0.500, 0.717)
Fe (0.354, 0.844, 0.661)
Fe (0.404, 0.404, 0.094)
Fe (0.500, 0.000, 0.000)
Fe (0.500, 0.216, 0.717)
Fe (0.500, 0.500, 0.500)
Fe (0.500, 0.784, 0.283)
Fe (0.596, 0.596, 0.906)
Fe (0.646, 0.156, 0.339)
Fe (0.784, 0.500, 0.283)
Fe (0.785, 0.215, 0.000)
Fe (0.844, 0.354, 0.661)
Fe (0.845, 0.845, 0.143)
N (0.000, 0.500, 0.500)
N (0.500, 0.000, 0.500)

Peak list (12 most intense, 2θ = 10–80°, by angle)
29.7°, rel. 29; 29.8°, rel. 52; 35.9°, rel. 54; 37.5°, rel. 58; 41.5°, rel. 100; 41.8°, rel. 49; 41.9°, rel. 33; 42.1°, rel. 97; 42.2°, rel. 69; 43.2°, rel. 26; 43.6°, rel. 88; 61.9°, rel. 26

=====

Diffraction record for BiSbO5. The PXRD pattern is computed, not measured: it uses the PBE geometry in the Materials Project and Cu Kα X-rays.
Lines closer than 0.1° are merged.

Atomic structure:
Unit cell a=5.862 b=10.530 c=8.968 alpha=90.00 beta=113.10 gamma=90.00
Positions (direct):
Bi (0.012, 0.104, 0.132)
Bi (0.012, 0.396, 0.632)
Bi (0.988, 0.604, 0.368)
Bi (0.988, 0.896, 0.868)
Sb (0.104, 0.608, 0.922)
Sb (0.104, 0.892, 0.422)
Sb (0.896, 0.108, 0.578)
Sb (0.896, 0.392, 0.078)
O (0.124, 0.554, 0.139)
O (0.124, 0.946, 0.639)
O (0.182, 0.065, 0.965)
O (0.182, 0.435, 0.465)
O (0.185, 0.216, 0.698)
O (0.185, 0.284, 0.198)
O (0.288, 0.510, 0.820)
O (0.288, 0.990, 0.320)
O (0.295, 0.734, 0.481)
O (0.295, 0.766, 0.981)
O (0.705, 0.234, 0.019)
O (0.705, 0.266, 0.519)
O (0.712, 0.010, 0.680)
O (0.712, 0.490, 0.180)
O (0.815, 0.716, 0.802)
O (0.815, 0.784, 0.302)
O (0.818, 0.565, 0.535)
O (0.818, 0.935, 0.035)
O (0.876, 0.054, 0.361)
O (0.876, 0.446, 0.861)

Peak list (12 most intense, 2θ = 10–80°, by angle)
16.4°, rel. 100; 23.0°, rel. 44; 23.2°, rel. 34; 28.6°, rel. 19; 33.4°, rel. 21; 33.5°, rel. 22; 38.0°, rel. 18; 40.2°, rel. 14; 41.1°, rel. 15; 41.3°, rel. 12; 42.8°, rel. 13; 53.7°, rel. 12

=====

Diffraction record for Mg14NbV. The PXRD pattern is computed, not measured: it uses the PBE geometry in the Materials Project and Cu Kα X-rays.
Lines closer than 0.1° are merged.

Atomic structure:
Unit cell a=10.083 b=6.335 c=6.335 alpha=58.47 beta=90.00 gamma=90.00
Positions (direct):
Mg (0.000, 0.000, 0.000)
Mg (0.000, 0.001, 0.501)
Mg (0.000, 0.500, 0.500)
Mg (0.000, 0.501, 0.001)
Mg (0.254, 0.161, 0.161)
Mg (0.256, 0.662, 0.662)
Mg (0.260, 0.168, 0.671)
Mg (0.260, 0.671, 0.168)
Mg (0.500, 0.004, 0.499)
Mg (0.500, 0.499, 0.004)
Mg (0.740, 0.168, 0.671)
Mg (0.740, 0.671, 0.168)
Mg (0.744, 0.662, 0.662)
Mg (0.746, 0.161, 0.161)
Nb (0.500, 0.003, 0.003)
V (0.500, 0.501, 0.501)

Peak list (12 most intense, 2θ = 10–80°, by angle)
16.0°, rel. 12; 18.3°, rel. 16; 32.4°, rel. 13; 33.2°, rel. 28; 35.6°, rel. 39; 37.1°, rel. 56; 37.8°, rel. 100; 49.5°, rel. 18; 58.3°, rel. 18; 65.4°, rel. 18; 70.2°, rel. 19; 72.5°, rel. 15

=====

Diffraction record for BaYMgCu2O5. The PXRD pattern is computed, not measured: it uses the PBE geometry in the Materials Project and Cu Kα X-rays.
Lines closer than 0.1° are merged.

Atomic structure:
Unit cell a=4.457 b=4.467 c=8.184 alpha=86.48 beta=86.58 gamma=82.98
Positions (direct):
Ba (0.000, 0.000, 0.000)
Y (0.259, 0.258, 0.445)
Mg (0.719, 0.719, 0.367)
Cu (0.453, 0.453, 0.102)
Cu (0.571, 0.572, 0.698)
O (0.062, 0.538, 0.223)
O (0.320, 0.758, 0.520)
O (0.538, 0.063, 0.223)
O (0.620, 0.621, 0.912)
O (0.758, 0.321, 0.520)

Peak list (12 most intense, 2θ = 10–80°, by angle)
10.8°, rel. 31; 21.8°, rel. 44; 23.4°, rel. 78; 28.1°, rel. 100; 29.0°, rel. 40; 30.2°, rel. 73; 30.6°, rel. 59; 37.9°, rel. 25; 41.7°, rel. 33; 41.8°, rel. 33; 42.9°, rel. 27; 45.3°, rel. 33

=====

Diffraction record for Rb3Ca. The PXRD pattern is computed, not measured: it uses the PBE geometry in the Materials Project and Cu Kα X-rays.
Lines closer than 0.1° are merged.

Atomic structure:
Unit cell a=6.596 b=6.596 c=13.592 alpha=90.00 beta=90.00 gamma=90.00
Positions (direct):
Rb (0.000, 0.000, 0.000)
Rb (0.000, 0.500, 0.250)
Rb (0.000, 0.500, 0.750)
Rb (0.500, 0.000, 0.250)
Rb (0.500, 0.000, 0.750)
Rb (0.500, 0.500, 0.500)
Ca (0.000, 0.000, 0.500)
Ca (0.500, 0.500, 0.000)

Peak list (12 most intense, 2θ = 10–80°, by angle)
23.1°, rel. 100; 26.2°, rel. 18; 27.0°, rel. 34; 38.0°, rel. 27; 38.6°, rel. 13; 44.5°, rel. 17; 45.5°, rel. 31; 47.3°, rel. 14; 60.3°, rel. 13; 61.1°, rel. 7; 69.5°, rel. 9; 74.7°, rel. 7

=====

Diffraction record for GdAl3Cu. The PXRD pattern is computed, not measured: it uses the PBE geometry in the Materials Project and Cu Kα X-rays.
Lines closer than 0.1° are merged.

Atomic structure:
Unit cell a=4.155 b=4.155 c=10.611 alpha=90.00 beta=90.00 gamma=90.00
Positions (direct):
Gd (0.000, 0.000, 0.000)
Gd (0.500, 0.500, 0.500)
Al (0.000, 0.000, 0.408)
Al (0.000, 0.500, 0.249)
Al (0.000, 0.500, 0.749)
Al (0.500, 0.000, 0.249)
Al (0.500, 0.000, 0.749)
Al (0.500, 0.500, 0.908)
Cu (0.000, 0.000, 0.629)
Cu (0.500, 0.500, 0.129)

Peak list (12 most intense, 2θ = 10–80°, by angle)
16.7°, rel. 38; 23.0°, rel. 46; 30.4°, rel. 54; 33.3°, rel. 100; 34.9°, rel. 94; 43.6°, rel. 48; 48.1°, rel. 42; 55.9°, rel. 45; 61.2°, rel. 15; 63.3°, rel. 16; 66.9°, rel. 30; 74.4°, rel. 21

=====

Diffraction record for MnMo3. The PXRD pattern is computed, not measured: it uses the PBE geometry in the Materials Project and Cu Kα X-rays.
Lines closer than 0.1° are merged.

Atomic structure:
Unit cell a=11.253 b=11.253 c=2.559 alpha=90.00 beta=90.00 gamma=120.00
Positions (direct):
Mn (0.000, 0.000, 0.000)
Mn (0.333, 0.667, 0.667)
Mn (0.667, 0.333, 0.333)
Mo (0.000, 0.793, 0.000)
Mo (0.126, 0.667, 0.667)
Mo (0.207, 0.207, 0.000)
Mo (0.333, 0.459, 0.667)
Mo (0.459, 0.333, 0.333)
Mo (0.541, 0.874, 0.667)
Mo (0.667, 0.126, 0.333)
Mo (0.793, 0.000, 0.000)
Mo (0.874, 0.541, 0.333)

Peak list (12 most intense, 2θ = 10–80°, by angle)
15.8°, rel. 100; 31.8°, rel. 35; 36.3°, rel. 26; 42.5°, rel. 39; 43.0°, rel. 38; 48.5°, rel. 16; 49.0°, rel. 8; 51.8°, rel. 13; 59.6°, rel. 16; 64.5°, rel. 7; 69.2°, rel. 7; 73.3°, rel. 7

=====

Diffraction record for Tb3Np. The PXRD pattern is computed, not measured: it uses the PBE geometry in the Materials Project and Cu Kα X-rays.
Lines closer than 0.1° are merged.

Atomic structure:
Unit cell a=4.942 b=4.942 c=4.942 alpha=90.00 beta=90.00 gamma=90.00
Positions (direct):
Tb (0.000, 0.000, 0.500)
Tb (0.000, 0.500, 0.000)
Tb (0.500, 0.000, 0.000)
Np (0.500, 0.500, 0.500)

Peak list (12 most intense, 2θ = 10–80°, by angle)
17.9°, rel. 3; 25.5°, rel. 3; 31.3°, rel. 100; 36.4°, rel. 51; 40.8°, rel. 2; 44.9°, rel. 1; 52.4°, rel. 36; 55.8°, rel. 1; 62.3°, rel. 43; 65.4°, rel. 12; 71.4°, rel. 1; 77.2°, rel. 6

=====

Diffraction record for Y2FeB. The PXRD pattern is computed, not measured: it uses the PBE geometry in the Materials Project and Cu Kα X-rays.
Lines closer than 0.1° are merged.

Atomic structure:
Unit cell a=6.452 b=6.452 c=6.452 alpha=90.00 beta=90.00 gamma=90.00
Positions (direct):
Y (0.000, 0.000, 0.000)
Y (0.000, 0.500, 0.500)
Y (0.250, 0.250, 0.250)
Y (0.250, 0.750, 0.750)
Y (0.500, 0.000, 0.500)
Y (0.500, 0.500, 0.000)
Y (0.750, 0.250, 0.750)
Y (0.750, 0.750, 0.250)
Fe (0.000, 0.000, 0.500)
Fe (0.000, 0.500, 0.000)
Fe (0.500, 0.000, 0.000)
Fe (0.500, 0.500, 0.500)
B (0.250, 0.250, 0.750)
B (0.250, 0.750, 0.250)
B (0.750, 0.250, 0.250)
B (0.750, 0.750, 0.750)

Peak list (10 most intense, 2θ = 10–80°, by angle)
23.9°, rel. 32; 27.7°, rel. 6; 39.5°, rel. 100; 46.7°, rel. 16; 48.9°, rel. 2; 57.1°, rel. 16; 62.8°, rel. 7; 64.6°, rel. 2; 71.7°, rel. 32; 76.8°, rel. 5